# 1
# Ba7Cd31
Computed powder diffraction line list, λ = 1.5418 Å (Cu Kα). Input: a structure optimized by DFT (GGA-PBE).
Neutral-atom scattering factors, no anomalous dispersion.

Atomic structure:
```
Ba7Cd31
1.0
10.799 0.000 0.000
-5.400 9.352 0.000
0.000 0.000 10.431
Ba Cd
7 31
Direct
0.000 0.000 0.000
0.166 0.331 0.500
0.166 0.834 0.500
0.333 0.667 0.000
0.667 0.333 0.203
0.667 0.333 0.797
0.669 0.834 0.500
0.000 0.000 0.347
0.000 0.000 0.653
0.031 0.516 0.274
0.031 0.516 0.726
0.167 0.334 0.167
0.167 0.334 0.833
0.167 0.833 0.167
0.167 0.833 0.833
0.298 0.149 0.261
0.298 0.149 0.739
0.333 0.667 0.351
0.333 0.667 0.649
0.393 0.059 0.000
0.393 0.334 0.000
0.472 0.236 0.500
0.484 0.516 0.274
0.484 0.516 0.726
0.484 0.969 0.274
0.484 0.969 0.726
0.666 0.059 0.000
0.666 0.607 0.000
0.666 0.833 0.167
0.666 0.833 0.833
0.764 0.236 0.500
0.764 0.528 0.500
0.851 0.149 0.261
0.851 0.149 0.739
0.851 0.702 0.261
0.851 0.702 0.739
0.941 0.334 0.000
0.941 0.607 0.000
```

The 6 most intense peaks (10° ≤ 2θ ≤ 90°), sorted by position:
2θ 30.55, 2.926 Å, I 66
2θ 32.08, 2.790 Å, I 100
2θ 33.18, 2.700 Å, I 92
2θ 37.51, 2.398 Å, I 37
2θ 58.59, 1.576 Å, I 37
2θ 59.26, 1.559 Å, I 28

***

# 2
# LiPuNO
Computed powder diffraction line list, λ = 1.5418 Å (Cu Kα). Input: a structure optimized by DFT (GGA-PBE).
Neutral-atom scattering factors, no anomalous dispersion.

Atomic structure:
```
LiPuNO
1.0
4.403 0.000 0.000
0.000 3.842 0.000
0.000 0.000 6.673
Li Pu N O
2 2 2 2
Direct
0.000 0.000 0.000
0.000 0.500 0.500
0.500 0.000 0.333
0.500 0.500 0.833
0.500 0.000 0.000
0.500 0.500 0.500
0.000 0.000 0.333
0.000 0.500 0.833
```

The 6 most intense peaks (10° ≤ 2θ ≤ 90°), sorted by position:
2θ 20.17, 4.403 Å, I 57
2θ 26.75, 3.332 Å, I 100
2θ 33.73, 2.657 Å, I 86
2θ 49.63, 1.837 Å, I 38
2θ 51.86, 1.763 Å, I 30
2θ 64.31, 1.449 Å, I 21

***

# 3
# PrNdSm6Tm2
Computed powder diffraction line list, λ = 1.5418 Å (Cu Kα). Input: a structure optimized by DFT (GGA-PBE).
Neutral-atom scattering factors, no anomalous dispersion.

Atomic structure:
```
PrNdSm6Tm2
1.0
4.691 -7.549 0.000
4.691 7.549 0.000
-1.069 0.000 9.546
Pr Nd Sm Tm
2 2 12 4
Direct
0.036 0.964 0.750
0.964 0.036 0.250
0.408 0.592 0.250
0.592 0.408 0.750
0.011 0.556 0.680
0.108 0.759 0.057
0.241 0.892 0.443
0.296 0.520 0.883
0.444 0.989 0.820
0.480 0.704 0.617
0.520 0.296 0.383
0.556 0.011 0.180
0.704 0.480 0.117
0.759 0.108 0.557
0.892 0.241 0.943
0.989 0.444 0.320
0.200 0.297 0.552
0.297 0.200 0.052
0.703 0.800 0.948
0.800 0.703 0.448
```

The 6 most intense peaks (10° ≤ 2θ ≤ 90°), sorted by position:
2θ 28.20, 3.164 Å, I 64
2θ 29.82, 2.996 Å, I 76
2θ 30.48, 2.933 Å, I 100
2θ 30.64, 2.918 Å, I 79
2θ 31.26, 2.861 Å, I 54
2θ 33.81, 2.651 Å, I 47

***

# 4
# Na2UNb2Se6
Computed powder diffraction line list, λ = 1.5418 Å (Cu Kα). Input: a structure optimized by DFT (GGA-PBE).
Neutral-atom scattering factors, no anomalous dispersion.

Atomic structure:
```
Na2UNb2Se6
1.0
3.320 -5.493 0.000
3.320 5.493 0.000
-1.669 0.000 7.428
Na U Nb Se
2 1 2 6
Direct
0.175 0.825 0.000
0.825 0.175 0.000
0.000 0.000 0.500
0.366 0.634 0.500
0.634 0.366 0.500
0.056 0.412 0.709
0.272 0.272 0.256
0.412 0.056 0.709
0.588 0.944 0.291
0.728 0.728 0.744
0.944 0.588 0.291
```

The 6 most intense peaks (10° ≤ 2θ ≤ 90°), sorted by position:
2θ 11.91, 7.428 Å, I 100
2θ 31.72, 2.821 Å, I 75
2θ 32.45, 2.759 Å, I 40
2θ 40.76, 2.214 Å, I 24
2θ 43.81, 2.066 Å, I 27
2θ 48.13, 1.891 Å, I 24

***

# 5
# ScMn2BC
Computed powder diffraction line list, λ = 1.5418 Å (Cu Kα). Input: a structure optimized by DFT (GGA-PBE).
Neutral-atom scattering factors, no anomalous dispersion.

Atomic structure:
```
ScMn2BC
1.0
1.671 -4.933 0.000
1.671 4.933 0.000
0.000 0.000 6.498
Sc Mn B C
2 4 2 2
Direct
0.041 0.959 0.750
0.959 0.041 0.250
0.321 0.679 0.563
0.321 0.679 0.937
0.679 0.321 0.063
0.679 0.321 0.437
0.236 0.764 0.250
0.764 0.236 0.750
0.500 0.500 0.000
0.500 0.500 0.500
```

The 6 most intense peaks (10° ≤ 2θ ≤ 90°), sorted by position:
2θ 31.44, 2.846 Å, I 37
2θ 33.01, 2.713 Å, I 46
2θ 38.40, 2.344 Å, I 100
2θ 39.06, 2.306 Å, I 39
2θ 39.76, 2.267 Å, I 83
2θ 51.10, 1.788 Å, I 40

***

# 6
# Nd3Mg2Al
Computed powder diffraction line list, λ = 1.5418 Å (Cu Kα). Input: a structure optimized by DFT (GGA-PBE).
Neutral-atom scattering factors, no anomalous dispersion.

Atomic structure:
```
Nd3Mg2Al
1.0
5.406 0.000 0.000
-2.703 4.682 0.000
0.000 0.000 6.626
Nd Mg Al
3 2 1
Direct
0.000 0.000 0.000
0.333 0.667 0.659
0.667 0.333 0.341
0.333 0.667 0.158
0.667 0.333 0.842
0.000 0.000 0.500
```

The 6 most intense peaks (10° ≤ 2θ ≤ 90°), sorted by position:
2θ 23.26, 3.824 Å, I 58
2θ 33.13, 2.704 Å, I 100
2θ 40.88, 2.208 Å, I 18
2θ 47.56, 1.912 Å, I 18
2θ 53.60, 1.710 Å, I 25
2θ 59.19, 1.561 Å, I 37

***

# 7
# K2SrMnH6
Computed powder diffraction line list, λ = 1.5418 Å (Cu Kα). Input: a structure optimized by DFT (GGA-PBE).
Neutral-atom scattering factors, no anomalous dispersion.

Atomic structure:
```
K2SrMnH6
1.0
5.927 0.000 0.000
-2.964 5.133 0.000
0.000 0.000 6.037
K Sr Mn H
2 1 1 6
Direct
0.333 0.667 0.103
0.667 0.333 0.897
0.000 0.000 0.500
0.000 0.000 0.000
0.133 0.265 0.835
0.133 0.867 0.835
0.265 0.133 0.165
0.735 0.867 0.835
0.867 0.133 0.165
0.867 0.735 0.165
```

The 6 most intense peaks (10° ≤ 2θ ≤ 90°), sorted by position:
2θ 17.28, 5.133 Å, I 90
2θ 22.74, 3.911 Å, I 46
2θ 30.16, 2.964 Å, I 100
2θ 34.47, 2.602 Å, I 60
2θ 42.76, 2.115 Å, I 41
2θ 56.37, 1.632 Å, I 28

***

Please write out number 3 again, unchanged.
# PrNdSm6Tm2
Computed powder diffraction line list, λ = 1.5418 Å (Cu Kα). Input: a structure optimized by DFT (GGA-PBE).
Neutral-atom scattering factors, no anomalous dispersion.

Atomic structure:
```
PrNdSm6Tm2
1.0
4.691 -7.549 0.000
4.691 7.549 0.000
-1.069 0.000 9.546
Pr Nd Sm Tm
2 2 12 4
Direct
0.036 0.964 0.750
0.964 0.036 0.250
0.408 0.592 0.250
0.592 0.408 0.750
0.011 0.556 0.680
0.108 0.759 0.057
0.241 0.892 0.443
0.296 0.520 0.883
0.444 0.989 0.820
0.480 0.704 0.617
0.520 0.296 0.383
0.556 0.011 0.180
0.704 0.480 0.117
0.759 0.108 0.557
0.892 0.241 0.943
0.989 0.444 0.320
0.200 0.297 0.552
0.297 0.200 0.052
0.703 0.800 0.948
0.800 0.703 0.448
```

The 6 most intense peaks (10° ≤ 2θ ≤ 90°), sorted by position:
2θ 28.20, 3.164 Å, I 64
2θ 29.82, 2.996 Å, I 76
2θ 30.48, 2.933 Å, I 100
2θ 30.64, 2.918 Å, I 79
2θ 31.26, 2.861 Å, I 54
2θ 33.81, 2.651 Å, I 47

***

Repeat the fifth record exactly.
# ScMn2BC
Computed powder diffraction line list, λ = 1.5418 Å (Cu Kα). Input: a structure optimized by DFT (GGA-PBE).
Neutral-atom scattering factors, no anomalous dispersion.

Atomic structure:
```
ScMn2BC
1.0
1.671 -4.933 0.000
1.671 4.933 0.000
0.000 0.000 6.498
Sc Mn B C
2 4 2 2
Direct
0.041 0.959 0.750
0.959 0.041 0.250
0.321 0.679 0.563
0.321 0.679 0.937
0.679 0.321 0.063
0.679 0.321 0.437
0.236 0.764 0.250
0.764 0.236 0.750
0.500 0.500 0.000
0.500 0.500 0.500
```

The 6 most intense peaks (10° ≤ 2θ ≤ 90°), sorted by position:
2θ 31.44, 2.846 Å, I 37
2θ 33.01, 2.713 Å, I 46
2θ 38.40, 2.344 Å, I 100
2θ 39.06, 2.306 Å, I 39
2θ 39.76, 2.267 Å, I 83
2θ 51.10, 1.788 Å, I 40